No. 1
For Li6Mn3Cr2Fe3O16, a DFT-relaxed cell (PBE+U, Alexandria) gives the calculated powder diffraction line list in this record (Cu Kα, 1.54184 Å).
Peak positions follow from Bragg's law for the DFT cell and can differ from measured ones.

Principal peaks in the range 2θ from 10° to 90°, most intense first:
| 2θ/deg | d/Å | I/Imax |
| --- | --- | --- |
| 19.8 | 4.487 | 100.0 |
| 18.6 | 4.767 | 80.3 |
| 36.6 | 2.453 | 42.5 |
| 45.7 | 1.985 | 39.8 |
| 40.2 | 2.245 | 32.1 |
| 19.6 | 4.533 | 26.7 |
| 36.2 | 2.482 | 26.5 |
| 35.7 | 2.517 | 25.3 |
| 20.0 | 4.440 | 22.5 |
| 63.0 | 1.476 | 22.5 |
| 60.9 | 1.522 | 22.4 |
| 63.3 | 1.470 | 21.9 |

Structural model:
Cell lengths 5.830, 5.880, 9.535 Å; angles 89.14, 89.41, 60.56 degrees
Fractional coordinates of all 30 atoms:
Li  0.000  0.000  0.000
Li  0.000  0.475  0.008
Li  0.347  0.298  0.505
Li  0.349  0.813  0.505
Li  0.508  0.481  0.002
Li  0.826  0.811  0.505
Mn  0.002  0.471  0.275
Mn  0.338  0.306  0.775
Mn  0.832  0.810  0.774
Cr  0.502  0.974  0.046
Cr  0.833  0.308  0.550
Fe  0.002  0.974  0.273
Fe  0.335  0.811  0.771
Fe  0.505  0.472  0.273
O  0.000  0.488  0.663
O  0.003  0.960  0.653
O  0.138  0.166  0.404
O  0.151  0.673  0.885
O  0.164  0.632  0.384
O  0.206  0.140  0.906
O  0.324  0.320  0.157
O  0.331  0.802  0.153
O  0.488  0.471  0.652
O  0.519  0.948  0.657
O  0.657  0.682  0.904
O  0.661  0.122  0.899
O  0.689  0.157  0.407
O  0.697  0.603  0.402
O  0.844  0.314  0.159
O  0.847  0.792  0.159

---

No. 2
For Li10Cr3Fe3Ni2O16, a DFT-relaxed cell (PBE+U, Alexandria) gives the calculated powder diffraction line list in this record (Cu Kα, 1.54184 Å).
Peak positions follow from Bragg's law for the DFT cell and can differ from measured ones.

Principal peaks in the range 2θ from 10° to 90°, most intense first:
| 2θ/deg | d/Å | I/Imax |
| --- | --- | --- |
| 19.4 | 4.578 | 100.0 |
| 19.5 | 4.559 | 96.9 |
| 44.8 | 2.025 | 96.2 |
| 18.0 | 4.917 | 93.2 |
| 35.3 | 2.542 | 60.2 |
| 36.0 | 2.497 | 55.2 |
| 25.1 | 3.554 | 41.9 |
| 35.2 | 2.550 | 40.7 |
| 32.4 | 2.763 | 40.4 |
| 39.5 | 2.280 | 35.1 |
| 36.1 | 2.488 | 34.4 |
| 44.5 | 2.037 | 33.6 |

Structural model:
Cell lengths 5.940, 5.956, 9.833 Å; angles 90.27, 90.05, 119.69 degrees
Fractional coordinates of all 34 atoms:
Li  0.000  0.000  0.000
Li  0.002  0.586  0.001
Li  0.192  0.386  0.078
Li  0.195  0.396  0.576
Li  0.391  0.196  0.500
Li  0.398  0.790  0.505
Li  0.528  0.055  0.280
Li  0.585  0.589  0.001
Li  0.806  0.195  0.501
Li  0.860  0.723  0.780
Cr  0.026  0.051  0.275
Cr  0.026  0.559  0.275
Cr  0.857  0.223  0.774
Fe  0.362  0.728  0.775
Fe  0.363  0.222  0.775
Fe  0.533  0.559  0.276
Ni  0.527  0.058  0.033
Ni  0.864  0.728  0.533
O  0.032  0.070  0.655
O  0.034  0.555  0.661
O  0.178  0.881  0.393
O  0.185  0.377  0.890
O  0.191  0.387  0.387
O  0.213  0.895  0.892
O  0.353  0.711  0.157
O  0.354  0.224  0.159
O  0.518  0.561  0.658
O  0.534  0.070  0.653
O  0.682  0.899  0.891
O  0.686  0.375  0.895
O  0.705  0.883  0.393
O  0.707  0.410  0.394
O  0.864  0.724  0.156
O  0.870  0.227  0.160

---

No. 3
For Li3Cr2Fe5O12, a DFT-relaxed cell (PBE+U, Alexandria) gives the calculated powder diffraction line list in this record (Cu Kα, 1.54184 Å).
Peak positions follow from Bragg's law for the DFT cell and can differ from measured ones.

Principal peaks in the range 2θ from 10° to 90°, most intense first:
| 2θ/deg | d/Å | I/Imax |
| --- | --- | --- |
| 42.4 | 2.130 | 100.0 |
| 18.3 | 4.835 | 45.7 |
| 43.8 | 2.066 | 44.9 |
| 23.7 | 3.761 | 35.3 |
| 62.5 | 1.487 | 25.7 |
| 62.8 | 1.479 | 23.8 |
| 19.6 | 4.539 | 23.4 |
| 36.8 | 2.442 | 20.9 |
| 20.7 | 4.291 | 20.4 |
| 61.9 | 1.498 | 12.9 |
| 61.3 | 1.513 | 12.9 |
| 31.4 | 2.846 | 12.3 |

Structural model:
Cell lengths 5.212, 5.212, 9.867 Å; angles 95.61, 95.61, 121.14 degrees
Fractional coordinates of all 22 atoms:
Li  0.000  0.000  0.000
Li  0.078  0.403  0.238
Li  0.597  0.922  0.762
Cr  0.163  0.837  0.500
Cr  0.666  0.334  0.000
Fe  0.348  0.652  0.000
Fe  0.398  0.074  0.235
Fe  0.497  0.503  0.500
Fe  0.835  0.165  0.500
Fe  0.926  0.602  0.765
O  0.068  0.694  0.120
O  0.141  0.132  0.386
O  0.196  0.555  0.612
O  0.306  0.932  0.880
O  0.370  0.351  0.115
O  0.445  0.804  0.388
O  0.558  0.219  0.615
O  0.649  0.630  0.885
O  0.682  0.054  0.121
O  0.781  0.442  0.385
O  0.868  0.859  0.614
O  0.946  0.318  0.879

---

No. 4
For Li4Cr3Fe3O12, a DFT-relaxed cell (PBE+U, Alexandria) gives the calculated powder diffraction line list in this record (Cu Kα, 1.54184 Å).
Peak positions follow from Bragg's law for the DFT cell and can differ from measured ones.

Principal peaks in the range 2θ from 10° to 90°, most intense first:
| 2θ/deg | d/Å | I/Imax |
| --- | --- | --- |
| 24.6 | 3.625 | 100.0 |
| 45.8 | 1.983 | 39.7 |
| 40.4 | 2.235 | 25.3 |
| 62.6 | 1.483 | 22.3 |
| 37.8 | 2.382 | 19.1 |
| 56.5 | 1.630 | 13.9 |
| 52.4 | 1.745 | 10.6 |
| 52.8 | 1.735 | 10.3 |
| 38.0 | 2.369 | 7.3 |
| 66.4 | 1.407 | 5.3 |
| 67.0 | 1.397 | 5.1 |
| 75.4 | 1.261 | 5.0 |

Structural model:
Cell lengths 9.498, 8.841, 5.282 Å; angles 80.23, 66.53, 33.23 degrees
Fractional coordinates of all 22 atoms:
Li  0.169  0.169  0.831
Li  0.579  0.579  0.921
Li  0.831  0.831  0.169
Li  0.921  0.921  0.579
Cr  0.084  0.084  0.416
Cr  0.416  0.416  0.084
Cr  0.750  0.750  0.750
Fe  0.000  0.000  0.000
Fe  0.336  0.336  0.664
Fe  0.664  0.664  0.336
O  0.100  0.567  0.458
O  0.179  0.651  0.877
O  0.221  0.779  0.221
O  0.294  0.877  0.651
O  0.458  0.874  0.100
O  0.529  0.971  0.529
O  0.567  0.100  0.874
O  0.651  0.179  0.294
O  0.779  0.221  0.779
O  0.874  0.458  0.567
O  0.877  0.294  0.179
O  0.971  0.529  0.971

---

No. 5
For Li3Cr3FeO8, a DFT-relaxed cell (PBE+U, Alexandria) gives the calculated powder diffraction line list in this record (Cu Kα, 1.54184 Å).
Peak positions follow from Bragg's law for the DFT cell and can differ from measured ones.

Principal peaks in the range 2θ from 10° to 90°, most intense first:
| 2θ/deg | d/Å | I/Imax |
| --- | --- | --- |
| 18.3 | 4.839 | 100.0 |
| 43.3 | 2.090 | 79.7 |
| 63.1 | 1.473 | 21.0 |
| 62.6 | 1.484 | 20.9 |
| 35.6 | 2.523 | 19.7 |
| 18.5 | 4.791 | 16.9 |
| 35.5 | 2.528 | 12.3 |
| 37.2 | 2.420 | 11.9 |
| 35.8 | 2.509 | 11.6 |
| 57.2 | 1.610 | 9.9 |
| 79.2 | 1.210 | 9.2 |
| 47.2 | 1.925 | 6.5 |

Structural model:
Cell lengths 5.890, 5.933, 8.363 Å; angles 90.02, 90.61, 90.03 degrees
Fractional coordinates of all 30 atoms:
Li  0.000  0.000  0.000
Li  0.249  0.748  0.748
Li  0.250  0.250  0.750
Li  0.500  0.500  0.500
Li  0.750  0.750  0.250
Li  0.751  0.252  0.252
Cr  0.000  0.000  0.500
Cr  0.249  0.250  0.250
Cr  0.250  0.750  0.251
Cr  0.500  0.500  0.000
Cr  0.750  0.250  0.749
Cr  0.751  0.750  0.750
Fe  0.000  0.500  0.000
Fe  0.500  0.000  0.500
O  0.016  0.000  0.258
O  0.016  0.500  0.232
O  0.238  0.722  0.008
O  0.239  0.277  0.008
O  0.259  0.776  0.492
O  0.262  0.223  0.492
O  0.484  0.000  0.270
O  0.484  0.500  0.242
O  0.516  0.000  0.730
O  0.516  0.500  0.758
O  0.738  0.777  0.508
O  0.741  0.224  0.508
O  0.761  0.723  0.992
O  0.762  0.278  0.992
O  0.984  0.000  0.742
O  0.984  0.500  0.768

---

No. 6
For Li4Cr2Fe3O10, a DFT-relaxed cell (PBE+U, Alexandria) gives the calculated powder diffraction line list in this record (Cu Kα, 1.54184 Å).
Peak positions follow from Bragg's law for the DFT cell and can differ from measured ones.

Principal peaks in the range 2θ from 10° to 90°, most intense first:
| 2θ/deg | d/Å | I/Imax |
| --- | --- | --- |
| 18.3 | 4.850 | 100.0 |
| 12.3 | 7.189 | 79.3 |
| 41.9 | 2.158 | 69.5 |
| 43.5 | 2.082 | 63.6 |
| 43.8 | 2.069 | 62.5 |
| 26.6 | 3.346 | 42.5 |
| 18.2 | 4.881 | 36.9 |
| 62.2 | 1.492 | 34.1 |
| 22.8 | 3.901 | 28.1 |
| 29.9 | 2.993 | 26.6 |
| 37.0 | 2.433 | 20.7 |
| 62.1 | 1.495 | 17.6 |

Structural model:
Cell lengths 5.111, 5.139, 7.820 Å; angles 72.53, 72.35, 79.92 degrees
Fractional coordinates of all 19 atoms:
Li  0.000  0.000  0.000
Li  0.001  0.561  0.834
Li  0.478  0.275  0.918
Li  0.986  0.173  0.635
Cr  0.502  0.890  0.710
Cr  0.509  0.677  0.092
Fe  0.002  0.787  0.398
Fe  0.495  0.102  0.297
Fe  0.504  0.477  0.516
O  0.263  0.843  0.544
O  0.266  0.995  0.167
O  0.274  0.243  0.742
O  0.281  0.457  0.345
O  0.289  0.667  0.946
O  0.719  0.348  0.069
O  0.732  0.117  0.468
O  0.732  0.753  0.260
O  0.733  0.913  0.868
O  0.759  0.561  0.634